The following is a computed powder diffractogram of Li2Sm2HoSi2. It was derived from a PBE-relaxed structure, using Cu Kα.
Neutral-atom scattering factors, no anomalous dispersion.

```
data_Li2Sm2HoSi2
_chemical_formula_sum 'Li6 Sm6 Ho3 Si6'
_symmetry_space_group_name_H-M 'R -3 m'
_symmetry_Int_Tables_number 166
_symmetry_space_group_name_Hall '-R 3 2"'
_cell_length_a 4.4058
_cell_length_b 4.4058
_cell_length_c 27.8610
_cell_angle_alpha 90.00
_cell_angle_beta 90.00
_cell_angle_gamma 120.00
loop_
_atom_site_label
_atom_site_fract_x
_atom_site_fract_y
_atom_site_fract_z
_atom_site_occupancy
Li1 0.0000 0.0000 0.1092 1
Sm1 0.0000 0.0000 0.3762 1
Ho1 0.0000 0.0000 0.5000 1
Si1 0.0000 0.0000 0.2302 1
```

Principal peaks in the range 2θ = 15–90°, by angle:
(hkl)	2θ (°)	Rel. int.
1 0 1	23.53	100
0 0 9	28.84	16
1 0 7	32.51	56
0 1 8	34.88	70
1 1 0	40.97	50
1 1 9	50.87	21
2 0 8	54.87	19
1 2 8	70.70	18